Starting from the GGA-PBE geometry in OQMD, the PXRD pattern of Ho3Cd3InAg2 was computed for Cu Kα X-rays.

Peak list (8 most intense, 10 to 90 degrees two-theta, sorted by position)
hkl 1 1 1, 2θ = 31.60°, 2.831 Å, I 88
hkl 2 0 1, 2θ = 34.43°, 2.605 Å, I 100
hkl 2 1 0, 2θ = 35.71°, 2.515 Å, I 42
hkl 3 0 0, 2θ = 40.69°, 2.218 Å, I 29
hkl 2 1 1, 2θ = 41.90°, 2.156 Å, I 17
hkl 0 0 2, 2θ = 43.19°, 2.095 Å, I 26
hkl 2 1 2, 2θ = 57.24°, 1.609 Å, I 21
hkl 3 2 1, 2θ = 65.04°, 1.434 Å, I 27

Atomic structure:
a = 7.682 Å, b = 7.682 Å, c = 4.189 Å
α = 90.00°, β = 90.00°, γ = 120.00°
Element x y z (fractional)
Ho: 0.000 0.420 0.000
Ho: 0.420 0.000 0.000
Ho: 0.580 0.580 0.000
Cd: 0.000 0.739 0.500
Cd: 0.261 0.261 0.500
Cd: 0.739 0.000 0.500
In: 0.000 0.000 0.000
Ag: 0.333 0.667 0.500
Ag: 0.667 0.333 0.500